Starting from a structure optimized by DFT (GGA-PBE), the X-ray diffraction stick pattern of BaSi2 was calculated for a wavelength of 1.5418 Å.
Intensities are scaled so that the largest is 100.

a b c (Å): 4.1864 4.1864 5.0503
angles (deg): 90.00 90.00 120.00
Space group P6/mmm (No. 191)
Symmetry-distinct sites (fractional):
Ba1 0.0000 0.0000 0.0000 (multiplicity 1)
Si1 0.3333 0.6667 0.5000 (multiplicity 2)

The 6 most intense peaks (5 to 70 degrees two-theta), in order of rising 2θ:
2θ = 24.55°, rel. 34, (1 0 0); 2θ = 30.35°, rel. 100, (1 0 1); 2θ = 35.55°, rel. 15, (0 0 2); 2θ = 43.22°, rel. 26, (1 1 0); 2θ = 53.72°, rel. 19, (2 0 1); 2θ = 57.16°, rel. 22, (1 1 2)


Starting from a structure optimized by DFT (GGA-PBE), the X-ray diffraction stick pattern of Sr3CaIr2O9 was calculated for a wavelength of 1.5418 Å.
Intensities are scaled so that the largest is 100.

a b c (Å): 14.122 5.792 9.995
angles (deg): 90.00 90.04 90.00
Space group P2_1/c (No. 14)
Symmetry-distinct sites (fractional):
Sr1 0.080 0.033 0.170 (multiplicity 4)
Sr2 0.253 0.540 0.996 (multiplicity 4)
Sr3 0.418 0.032 0.834 (multiplicity 4)
Ca1 0.000 0.000 0.500 (multiplicity 2)
Ca2 0.500 0.000 0.500 (multiplicity 2)
Ir1 0.172 0.501 0.332 (multiplicity 4)
Ir2 0.327 0.005 0.166 (multiplicity 4)
O1 0.070 0.199 0.897 (multiplicity 4)
O2 0.094 0.731 0.874 (multiplicity 4)
O3 0.117 0.014 0.654 (multiplicity 4)
O4 0.224 0.513 0.524 (multiplicity 4)
O5 0.250 0.213 0.289 (multiplicity 4)
O6 0.277 0.715 0.264 (multiplicity 4)
O7 0.382 0.226 0.580 (multiplicity 4)
O8 0.407 0.694 0.554 (multiplicity 4)
O9 0.428 0.015 0.300 (multiplicity 4)

The 6 most intense peaks (5 to 70 degrees two-theta), in order of rising 2θ:
2θ = 21.76°, rel. 33, (2 1 -1); 2θ = 30.94°, rel. 91, (0 1 3); 2θ = 30.99°, rel. 100, (4 1 1); 2θ = 44.33°, rel. 36, (4 2 -2); 2θ = 54.98°, rel. 25, (0 3 3); 2θ = 55.12°, rel. 48, (4 1 -5)


Starting from a structure optimized by DFT (GGA-PBE), the X-ray diffraction stick pattern of LiCe3 was calculated for a wavelength of 1.5418 Å.
Intensities are scaled so that the largest is 100.

a b c (Å): 4.738 4.738 4.738
angles (deg): 90.00 90.00 90.00
Space group Pm-3m (No. 221)
Symmetry-distinct sites (fractional):
Li1 0.000 0.000 0.000 (multiplicity 1)
Ce1 0.000 0.500 0.500 (multiplicity 3)

The 6 most intense peaks (5 to 70 degrees two-theta), in order of rising 2θ:
2θ = 18.73°, rel. 30, (1 0 0); 2θ = 26.61°, rel. 26, (1 1 0); 2θ = 32.74°, rel. 100, (1 1 1); 2θ = 37.98°, rel. 50, (2 0 0); 2θ = 54.80°, rel. 35, (2 2 0); 2θ = 65.32°, rel. 41, (3 1 1)


Starting from a structure optimized by DFT (GGA-PBE), the X-ray diffraction stick pattern of CoB3Mo3 was calculated for a wavelength of 1.5418 Å.
Intensities are scaled so that the largest is 100.

a b c (Å): 3.163 8.487 10.791
angles (deg): 90.00 90.00 90.00
Space group Cmcm (No. 63)
Symmetry-distinct sites (fractional):
Co1 0.000 0.000 0.000 (multiplicity 4)
B1 0.000 0.291 0.250 (multiplicity 4)
B2 0.000 0.413 0.103 (multiplicity 8)
Mo1 0.000 0.003 0.750 (multiplicity 4)
Mo2 0.000 0.288 0.607 (multiplicity 8)

The 6 most intense peaks (5 to 70 degrees two-theta), in order of rising 2θ:
2θ = 31.30°, rel. 48, (1 1 1); 2θ = 39.39°, rel. 63, (1 1 3); 2θ = 39.59°, rel. 100, (0 2 4); 2θ = 42.61°, rel. 31, (0 4 0); 2θ = 42.89°, rel. 74, (1 3 0); 2θ = 45.47°, rel. 63, (1 1 4)


Starting from a structure optimized by DFT (GGA-PBE), the X-ray diffraction stick pattern of Bi2Pd3S2 was calculated for a wavelength of 1.5418 Å.
Intensities are scaled so that the largest is 100.

a b c (Å): 6.2116 6.2116 13.5102
angles (deg): 90.00 90.00 120.00
Space group R-3m (No. 166, hexagonal axes)
Symmetry-distinct sites (fractional):
Bi1 0.0000 0.0000 0.0000 (multiplicity 3)
Bi2 0.0000 0.0000 0.5000 (multiplicity 3)
Pd1 0.0000 0.5000 0.0000 (multiplicity 9)
S1 0.0000 0.0000 0.2199 (multiplicity 6)

The 6 most intense peaks (5 to 70 degrees two-theta), in order of rising 2θ:
2θ = 21.11°, rel. 44, (0 1 2); 2θ = 28.74°, rel. 54, (1 1 0); 2θ = 31.27°, rel. 39, (1 0 4); 2θ = 35.94°, rel. 100, (2 0 2); 2θ = 42.99°, rel. 82, (0 2 4); 2θ = 59.53°, rel. 32, (2 2 0)


Starting from a structure optimized by DFT (GGA-PBE), the X-ray diffraction stick pattern of ErGeAu was calculated for a wavelength of 1.5418 Å.
Intensities are scaled so that the largest is 100.

a b c (Å): 4.9556 4.9556 5.9973
angles (deg): 90.00 90.00 120.00
Space group P6_3mc (No. 186)
Symmetry-distinct sites (fractional):
Er1 0.3333 0.6667 0.0000 (multiplicity 2)
Ge1 0.3333 0.6667 0.4847 (multiplicity 2)
Au1 0.0000 0.0000 0.3486 (multiplicity 2)

The 6 most intense peaks (5 to 70 degrees two-theta), in order of rising 2θ:
2θ = 29.80°, rel. 21, (0 0 2); 2θ = 36.25°, rel. 100, (1 1 0); 2θ = 36.56°, rel. 68, (1 0 2); 2θ = 47.61°, rel. 34, (1 1 2); 2θ = 52.43°, rel. 24, (2 0 2); 2θ = 65.41°, rel. 25, (2 1 2)


Starting from a structure optimized by DFT (GGA-PBE), the X-ray diffraction stick pattern of InAgTe2 was calculated for a wavelength of 1.5418 Å.
Intensities are scaled so that the largest is 100.

a b c (Å): 6.591 6.591 12.932
angles (deg): 90.00 90.00 90.00
Space group I-42d (No. 122)
Symmetry-distinct sites (fractional):
In1 0.000 0.000 0.000 (multiplicity 4)
Ag1 0.000 0.000 0.500 (multiplicity 4)
Te1 0.245 0.250 0.625 (multiplicity 8)

The 6 most intense peaks (5 to 70 degrees two-theta), in order of rising 2θ:
2θ = 23.53°, rel. 100, (1 1 2); 2θ = 38.64°, rel. 27, (2 2 0); 2θ = 39.03°, rel. 53, (2 0 4); 2θ = 45.73°, rel. 33, (3 1 2); 2θ = 46.42°, rel. 16, (1 1 6); 2θ = 61.93°, rel. 13, (3 1 6)